(1)
Structure and calculated powder X-ray diffraction pattern of La5Th3S8 (a GGA-PBE-relaxed structure; Cu Kα (λ = 1.5418 Å)).
Neutral-atom scattering factors, no anomalous dispersion.

Main lines, low angle first (2θ from 15° to 90°):
| d/Å | I (rel.) | h k l |
| --- | --- | --- |
| 3.355 | 85 | 2 0 2 |
| 2.905 | 100 | 0 2 4 |
| 2.057 | 37 | 2 0 8 |
| 2.052 | 37 | 2 2 0 |
| 1.751 | 32 | 2 2 6 |
| 1.676 | 19 | 4 0 4 |
| 1.453 | 12 | 0 4 8 |
| 1.301 | 17 | 2 2 12 |
| 1.298 | 17 | 2 4 4 |
| 1.185 | 19 | 6 0 0 |

```
data_La5Th3S8
_cell_length_a 8.2067
_cell_length_b 8.2067
_cell_length_c 20.1800
_cell_angle_alpha 90.00
_cell_angle_beta 90.00
_cell_angle_gamma 120.00
_symmetry_space_group_name_H-M 'R -3 m'
_symmetry_Int_Tables_number 166
_symmetry_space_group_name_Hall '-R 3 2"'
loop_
_atom_site_label
_atom_site_type_symbol
_atom_site_fract_x
_atom_site_fract_y
_atom_site_fract_z
_atom_site_occupancy
La1 La 0.0000 0.0000 0.0000 1
La2 La 0.0000 0.0000 0.5000 1
La3 La 0.0000 0.5000 0.0000 1
Th1 Th 0.0000 0.5000 0.5000 1
S1 S 0.0000 0.0000 0.2479 1
S2 S 0.0033 0.5017 0.7517 1
```



(2)
Structure and calculated powder X-ray diffraction pattern of LaTi4S8 (a GGA-PBE-relaxed structure; Cu Kα (λ = 1.5418 Å)).
Neutral-atom scattering factors, no anomalous dispersion.

Main lines, low angle first (2θ from 15° to 90°):
| d/Å | I (rel.) | h k l |
| --- | --- | --- |
| 5.731 | 38 | 1 0 1 |
| 5.163 | 33 | 0 1 2 |
| 3.899 | 17 | 1 0 4 |
| 3.444 | 14 | 1 1 0 |
| 3.390 | 14 | 0 1 5 |
| 3.079 | 17 | 1 1 3 |
| 2.582 | 100 | 0 2 4 |
| 1.949 | 38 | 2 0 8 |
| 1.722 | 31 | 2 2 0 |
| 1.433 | 14 | 4 0 4 |

```
data_LaTi4S8
_cell_length_a 6.8898
_cell_length_b 6.8898
_cell_length_c 20.6008
_cell_angle_alpha 90.00
_cell_angle_beta 90.00
_cell_angle_gamma 120.00
_symmetry_space_group_name_H-M 'R -3 m'
_symmetry_Int_Tables_number 166
_symmetry_space_group_name_Hall '-R 3 2"'
loop_
_atom_site_label
_atom_site_type_symbol
_atom_site_fract_x
_atom_site_fract_y
_atom_site_fract_z
_atom_site_occupancy
La1 La 0.0000 0.0000 0.0000 1
Ti1 Ti 0.0000 0.0000 0.5000 1
Ti2 Ti 0.0000 0.5000 0.5000 1
S1 S 0.0000 0.0000 0.2349 1
S2 S 0.0068 0.5034 0.2374 1
```



(3)
Structure and calculated powder X-ray diffraction pattern of LaTl2S4 (a GGA-PBE-relaxed structure; Cu Kα (λ = 1.5418 Å)).
Neutral-atom scattering factors, no anomalous dispersion.

Main lines, low angle first (2θ from 15° to 90°):
| d/Å | I (rel.) | h k l |
| --- | --- | --- |
| 4.249 | 17 | 1 1 0 |
| 3.562 | 100 | 1 1 1 |
| 3.005 | 17 | 2 0 0 |
| 2.730 | 11 | 2 0 1 |
| 2.211 | 40 | 2 0 2 |
| 2.125 | 18 | 2 2 0 |
| 1.938 | 19 | 1 1 3 |
| 1.825 | 31 | 3 1 1 |
| 1.432 | 14 | 3 1 3 |
| 1.243 | 12 | 4 2 2 |

```
data_LaTl2S4
_cell_length_a 6.009
_cell_length_b 6.009
_cell_length_c 6.532
_cell_angle_alpha 90.00
_cell_angle_beta 90.00
_cell_angle_gamma 90.00
_symmetry_space_group_name_H-M 'P -4 2 m'
_symmetry_Int_Tables_number 111
loop_
_symmetry_equiv_pos_as_xyz
'x,y,z'
'y,-x,-z'
'-x,-y,z'
'-y,x,-z'
'x,-y,-z'
'y,x,z'
'-x,y,-z'
'-y,-x,z'
loop_
_atom_site_label
_atom_site_type_symbol
_atom_site_fract_x
_atom_site_fract_y
_atom_site_fract_z
_atom_site_occupancy
La1 La 0.000 0.000 0.000 1
Tl1 Tl 0.000 0.500 0.500 1
S1 S 0.262 0.262 0.255 1
```



Please write out number 1 again, unchanged.
Structure and calculated powder X-ray diffraction pattern of La5Th3S8 (a GGA-PBE-relaxed structure; Cu Kα (λ = 1.5418 Å)).
Neutral-atom scattering factors, no anomalous dispersion.

Main lines, low angle first (2θ from 15° to 90°):
| d/Å | I (rel.) | h k l |
| --- | --- | --- |
| 3.355 | 85 | 2 0 2 |
| 2.905 | 100 | 0 2 4 |
| 2.057 | 37 | 2 0 8 |
| 2.052 | 37 | 2 2 0 |
| 1.751 | 32 | 2 2 6 |
| 1.676 | 19 | 4 0 4 |
| 1.453 | 12 | 0 4 8 |
| 1.301 | 17 | 2 2 12 |
| 1.298 | 17 | 2 4 4 |
| 1.185 | 19 | 6 0 0 |

```
data_La5Th3S8
_cell_length_a 8.2067
_cell_length_b 8.2067
_cell_length_c 20.1800
_cell_angle_alpha 90.00
_cell_angle_beta 90.00
_cell_angle_gamma 120.00
_symmetry_space_group_name_H-M 'R -3 m'
_symmetry_Int_Tables_number 166
_symmetry_space_group_name_Hall '-R 3 2"'
loop_
_atom_site_label
_atom_site_type_symbol
_atom_site_fract_x
_atom_site_fract_y
_atom_site_fract_z
_atom_site_occupancy
La1 La 0.0000 0.0000 0.0000 1
La2 La 0.0000 0.0000 0.5000 1
La3 La 0.0000 0.5000 0.0000 1
Th1 Th 0.0000 0.5000 0.5000 1
S1 S 0.0000 0.0000 0.2479 1
S2 S 0.0033 0.5017 0.7517 1
```